(1)
Theoretical XRD peak list of NiF3 for CuKα, from a GGA+U-relaxed structure.

Atomic structure:
Cell lengths 5.241, 5.241, 5.241 Å; angles 56.19, 56.19, 56.19 degrees
Atoms (fractional coordinates):
1 Ni 0.000 0.000 0.000
2 Ni 0.500 0.500 0.500
3 F 0.118 0.750 0.382
4 F 0.250 0.618 0.882
5 F 0.382 0.118 0.750
6 F 0.618 0.882 0.250
7 F 0.750 0.382 0.118
8 F 0.882 0.250 0.618

Top 12 peaks for 2θ = 10–90°, low angle first:
2θ (°)	I/Imax
24.82	1000
34.34	274
36.40	94
41.97	201
44.56	94
50.90	160
56.01	299
58.84	130
64.18	101
65.50	128
75.40	56
82.69	67

(2)
Theoretical XRD peak list of Fe6O11F for CuKα, from a GGA+U-relaxed structure.

Atomic structure:
Cell lengths 5.504, 5.504, 7.118 Å; angles 107.72, 107.72, 73.89 degrees
Atoms (fractional coordinates):
1 Fe 0.000 0.000 0.000
2 Fe 0.299 0.354 0.827
3 Fe 0.311 0.359 0.334
4 Fe 0.641 0.689 0.666
5 Fe 0.646 0.701 0.173
6 Fe 0.977 0.023 0.500
7 O 0.002 0.670 0.334
8 O 0.087 0.123 0.294
9 O 0.215 0.250 0.040
10 O 0.300 0.700 0.000
11 O 0.330 0.998 0.666
12 O 0.410 0.460 0.629
13 O 0.540 0.590 0.371
14 O 0.627 0.057 0.340
15 O 0.750 0.785 0.960
16 O 0.877 0.913 0.706
17 O 0.943 0.373 0.660
18 F 0.680 0.320 0.000

Top 12 peaks for 2θ = 10–90°, low angle first:
2θ (°)	I/Imax
26.95	984
27.62	953
35.78	1000
38.97	210
40.69	128
41.16	124
53.55	578
54.32	552
55.55	156
57.03	153
62.12	150
68.52	392

(3)
Theoretical XRD peak list of Li9Mn2Co5O16 for CuKα, from a GGA+U-relaxed structure.

Atomic structure:
Cell lengths 5.168, 5.887, 10.068 Å; angles 88.56, 79.77, 71.96 degrees
Atoms (fractional coordinates):
1 Li 0.000 0.000 0.000
2 Li 0.000 0.253 0.249
3 Li 0.003 0.508 0.502
4 Li 0.003 0.995 0.507
5 Li 0.004 0.242 0.760
6 Li 0.010 0.495 0.997
7 Li 0.504 0.123 0.877
8 Li 0.995 0.763 0.762
9 Li 0.998 0.745 0.246
10 Mn 0.504 0.125 0.378
11 Mn 0.504 0.374 0.631
12 Co 0.496 0.627 0.378
13 Co 0.497 0.884 0.119
14 Co 0.501 0.628 0.878
15 Co 0.502 0.373 0.120
16 Co 0.509 0.879 0.630
17 O 0.262 0.689 0.064
18 O 0.264 0.178 0.072
19 O 0.271 0.415 0.313
20 O 0.272 0.439 0.801
21 O 0.281 0.669 0.555
22 O 0.281 0.918 0.800
23 O 0.283 0.942 0.327
24 O 0.290 0.187 0.564
25 O 0.711 0.581 0.203
26 O 0.716 0.316 0.440
27 O 0.724 0.561 0.681
28 O 0.729 0.835 0.449
29 O 0.732 0.066 0.203
30 O 0.734 0.327 0.951
31 O 0.738 0.800 0.943
32 O 0.742 0.085 0.684

Top 12 peaks for 2θ = 10–90°, low angle first:
2θ (°)	I/Imax
18.35	1000
35.36	156
36.29	126
36.38	132
37.73	74
42.67	294
43.97	263
44.15	263
62.76	77
62.94	74
63.12	73
63.22	75

(4)
Theoretical XRD peak list of Nd4FeCo3As4O4 for CuKα, from a GGA+U-relaxed structure.

Atomic structure:
Cell lengths 3.994, 7.985, 9.010 Å; angles 90.00, 90.00, 90.00 degrees
Atoms (fractional coordinates):
1 Nd 0.000 0.000 0.000
2 Nd 0.000 0.500 0.004
3 Nd 0.500 0.252 0.734
4 Nd 0.500 0.748 0.734
5 Fe 0.500 0.500 0.364
6 Co 0.000 0.255 0.367
7 Co 0.000 0.745 0.367
8 Co 0.500 0.000 0.370
9 As 0.000 0.000 0.518
10 As 0.000 0.500 0.542
11 As 0.500 0.241 0.199
12 As 0.500 0.759 0.199
13 O 0.000 0.250 0.868
14 O 0.000 0.750 0.868
15 O 0.500 0.000 0.861
16 O 0.500 0.500 0.870

Top 12 peaks for 2θ = 10–90°, low angle first:
2θ (°)	I/Imax
29.90	1000
31.69	197
33.25	176
37.47	82
37.59	209
45.42	313
51.93	309
55.32	205
55.34	174
66.19	98
74.29	85
88.83	129

(5)
Theoretical XRD peak list of V4OF11 for CuKα, from a GGA+U-relaxed structure.

Atomic structure:
Cell lengths 5.254, 5.449, 17.498 Å; angles 89.24, 81.73, 61.66 degrees
Atoms (fractional coordinates):
1 V 0.000 0.000 0.000
2 V 0.000 0.499 0.499
3 V 0.234 0.355 0.121
4 V 0.252 0.877 0.624
5 V 0.496 0.743 0.246
6 V 0.507 0.263 0.756
7 V 0.746 0.619 0.872
8 V 0.748 0.121 0.373
9 O 0.090 0.172 0.083
10 O 0.577 0.407 0.828
11 F 0.024 0.187 0.561
12 F 0.024 0.690 0.063
13 F 0.072 0.663 0.587
14 F 0.072 0.960 0.284
15 F 0.078 0.459 0.785
16 F 0.416 0.573 0.159
17 F 0.423 0.782 0.960
18 F 0.424 0.091 0.666
19 F 0.427 0.284 0.461
20 F 0.473 0.061 0.186
21 F 0.479 0.553 0.684
22 F 0.521 0.435 0.309
23 F 0.523 0.938 0.811
24 F 0.572 0.714 0.536
25 F 0.573 0.907 0.336
26 F 0.576 0.215 0.037
27 F 0.922 0.834 0.912
28 F 0.923 0.033 0.711
29 F 0.925 0.336 0.409
30 F 0.926 0.533 0.211
31 F 0.969 0.309 0.934
32 F 0.976 0.810 0.436

Top 12 peaks for 2θ = 10–90°, low angle first:
2θ (°)	I/Imax
23.41	1000
23.66	501
32.68	73
32.92	144
39.48	198
47.87	214
48.41	97
53.05	128
53.24	61
53.63	135
54.84	94
60.91	85

(6)
Theoretical XRD peak list of Mg2Nb2WO8 for CuKα, from a GGA+U-relaxed structure.

Atomic structure:
Cell lengths 5.326, 5.943, 10.113 Å; angles 104.25, 91.84, 91.74 degrees
Atoms (fractional coordinates):
1 Mg 0.229 0.078 0.446
2 Mg 0.260 0.638 0.540
3 Mg 0.740 0.362 0.460
4 Mg 0.771 0.922 0.554
5 Nb 0.278 0.249 0.750
6 Nb 0.281 0.483 0.232
7 Nb 0.719 0.517 0.768
8 Nb 0.722 0.751 0.250
9 W 0.243 0.858 0.003
10 W 0.757 0.142 0.997
11 O 0.072 0.421 0.636
12 O 0.089 0.694 0.141
13 O 0.109 0.172 0.104
14 O 0.131 0.955 0.616
15 O 0.373 0.349 0.387
16 O 0.396 0.586 0.876
17 O 0.402 0.067 0.882
18 O 0.432 0.798 0.382
19 O 0.568 0.202 0.618
20 O 0.598 0.933 0.118
21 O 0.604 0.414 0.124
22 O 0.627 0.651 0.613
23 O 0.869 0.045 0.384
24 O 0.891 0.828 0.896
25 O 0.911 0.306 0.859
26 O 0.928 0.579 0.364

Top 12 peaks for 2θ = 10–90°, low angle first:
2θ (°)	I/Imax
19.73	527
20.70	542
25.28	411
26.62	1000
26.78	370
27.88	397
30.86	359
32.36	553
32.93	276
33.70	518
34.19	404
35.05	409

(7)
Theoretical XRD peak list of Li7Mn11O24 for CuKα, from a GGA+U-relaxed structure.

Atomic structure:
Cell lengths 5.814, 8.537, 10.033 Å; angles 113.39, 106.25, 90.11 degrees
Atoms (fractional coordinates):
1 Li 0.000 0.000 0.000
2 Li 0.101 0.236 0.202
3 Li 0.248 0.117 0.494
4 Li 0.424 0.543 0.841
5 Li 0.576 0.457 0.159
6 Li 0.752 0.883 0.506
7 Li 0.899 0.764 0.798
8 Mn 0.000 0.500 0.000
9 Mn 0.000 0.500 0.500
10 Mn 0.165 0.681 0.337
11 Mn 0.174 0.158 0.836
12 Mn 0.335 0.842 0.164
13 Mn 0.340 0.840 0.673
14 Mn 0.500 0.500 0.500
15 Mn 0.660 0.160 0.327
16 Mn 0.665 0.158 0.836
17 Mn 0.826 0.842 0.164
18 Mn 0.835 0.319 0.663
19 O 0.010 0.776 0.018
20 O 0.029 0.748 0.504
21 O 0.140 0.392 0.831
22 O 0.153 0.893 0.316
23 O 0.165 0.929 0.817
24 O 0.172 0.458 0.354
25 O 0.304 0.607 0.168
26 O 0.344 0.077 0.685
27 O 0.345 0.072 0.186
28 O 0.346 0.606 0.660
29 O 0.466 0.755 0.497
30 O 0.486 0.238 0.973
31 O 0.514 0.762 0.027
32 O 0.534 0.245 0.503
33 O 0.654 0.394 0.340
34 O 0.655 0.928 0.814
35 O 0.656 0.923 0.315
36 O 0.696 0.393 0.832
37 O 0.828 0.542 0.646
38 O 0.835 0.071 0.183
39 O 0.847 0.107 0.684
40 O 0.860 0.608 0.169
41 O 0.971 0.252 0.496
42 O 0.990 0.224 0.982

Top 12 peaks for 2θ = 10–90°, low angle first:
2θ (°)	I/Imax
18.12	551
18.47	975
18.67	1000
34.63	179
35.12	162
35.81	233
36.05	232
36.40	168
42.37	506
43.69	486
44.17	471
63.70	271